(1)
Theoretical powder diffraction line list
Compound: BaIn2Pt
Radiation: Cu Ka
Structure: DFT lattice parameters and positions (PBE)

Cell lengths 4.5866, 11.8204, 8.1517 Å; angles 90.00, 90.00, 90.00 degrees
Space group Cmcm (No. 63)
Inequivalent atoms, fractional coordinates:
1 Ba 0.0000 0.0527 0.2500 (multiplicity 4)
2 In 0.0000 0.3369 0.0564 (multiplicity 8)
3 Pt 0.0000 0.2241 0.7500 (multiplicity 4)

Peak list (12 most intense, 15 to 90 degrees two-theta, in order of falling intensity)
(hkl)  2theta  Rel. int.
2 0 0  39.3  100
1 3 1  31.9  79
1 1 2  30.3  69
0 4 1  32.2  46
1 3 0  29.9  27
1 3 3  45.1  26
0 4 2  37.6  26
1 3 2  37.3  24
2 4 1  51.7  24
2 6 2  66.6  23
2 4 2  55.5  17
0 0 4  44.5  15



(2)
Theoretical powder diffraction line list
Compound: BaIn3Pt
Radiation: Cu Ka
Structure: DFT lattice parameters and positions (PBE)

Cell lengths 4.8959, 4.8959, 11.5860 Å; angles 90.00, 90.00, 90.00 degrees
Space group I4mm (No. 107)
Inequivalent atoms, fractional coordinates:
1 Ba 0.0000 0.0000 0.0000 (multiplicity 2)
2 In 0.0000 0.0000 0.4002 (multiplicity 2)
3 In 0.0000 0.5000 0.2411 (multiplicity 4)
4 Pt 0.0000 0.0000 0.6308 (multiplicity 2)

Peak list (12 most intense, 15 to 90 degrees two-theta, in order of falling intensity)
(hkl)  2theta  Rel. int.
1 1 2  30.1  100
2 0 0  36.7  87
1 0 3  29.5  69
1 1 4  40.6  43
1 0 5  43.2  37
2 1 3  47.8  36
2 1 5  57.9  31
2 2 0  52.9  30
1 0 1  19.7  25
3 1 2  62.1  24
1 1 0  25.7  20
3 1 4  68.7  17



(3)
Theoretical powder diffraction line list
Compound: BaIn2Pt2
Radiation: Cu Ka
Structure: DFT lattice parameters and positions (PBE)

Cell lengths 4.6245, 4.6245, 11.7607 Å; angles 90.00, 90.00, 90.00 degrees
Space group I4/mmm (No. 139)
Inequivalent atoms, fractional coordinates:
1 Ba 0.0000 0.0000 0.0000 (multiplicity 2)
2 In 0.0000 0.5000 0.2500 (multiplicity 4)
3 Pt 0.0000 0.0000 0.3836 (multiplicity 4)

Peak list (12 most intense, 15 to 90 degrees two-theta, in order of falling intensity)
(hkl)  2theta  Rel. int.
1 1 2  31.3  100
2 0 0  39.0  93
1 0 3  29.9  86
1 1 4  41.3  65
1 0 5  43.1  54
2 1 5  59.5  42
2 1 3  49.9  42
1 0 1  20.6  38
1 1 0  27.3  33
2 2 0  56.3  32
3 1 4  72.1  25
2 0 8  76.8  23



(4)
Theoretical powder diffraction line list
Compound: BaIn2Rh
Radiation: Cu Ka
Structure: DFT lattice parameters and positions (PBE)

Cell lengths 4.5095, 11.7537, 8.1737 Å; angles 90.00, 90.00, 90.00 degrees
Space group Cmcm (No. 63)
Inequivalent atoms, fractional coordinates:
1 Ba 0.0000 0.0517 0.2500 (multiplicity 4)
2 In 0.0000 0.3338 0.0557 (multiplicity 8)
3 Rh 0.0000 0.2182 0.7500 (multiplicity 4)

Peak list (12 most intense, 15 to 90 degrees two-theta, in order of falling intensity)
(hkl)  2theta  Rel. int.
1 1 2  30.5  100
1 3 1  32.2  60
1 3 0  30.2  57
0 4 1  32.4  57
1 1 3  39.4  50
2 0 0  40.0  47
0 2 0  15.1  30
2 4 1  52.4  28
1 3 2  37.5  28
0 2 3  36.3  26
1 3 3  45.3  23
0 4 2  37.7  20



(5)
Theoretical powder diffraction line list
Compound: Ba2InS4
Radiation: Cu Ka
Structure: DFT lattice parameters and positions (PBE)

Cell lengths 6.3416, 10.1902, 13.2330 Å; angles 104.18, 90.43, 91.08 degrees
Space group P-1 (No. 2)
Inequivalent atoms, fractional coordinates:
1 Ba 0.2379 0.0789 0.3818 (multiplicity 2)
2 Ba 0.2542 0.6213 0.4768 (multiplicity 2)
3 Ba 0.2557 0.4249 0.1078 (multiplicity 2)
4 Ba 0.2589 0.8929 0.8496 (multiplicity 2)
5 In 0.1681 0.8034 0.1113 (multiplicity 2)
6 In 0.3214 0.2073 0.6966 (multiplicity 2)
7 S 0.0809 0.3481 0.3127 (multiplicity 2)
8 S 0.2290 0.2200 0.8795 (multiplicity 2)
9 S 0.2396 0.3360 0.5704 (multiplicity 2)
10 S 0.2440 0.0394 0.1136 (multiplicity 2)
11 S 0.2475 0.6323 0.9522 (multiplicity 2)
12 S 0.2643 0.9595 0.6075 (multiplicity 2)
13 S 0.2806 0.7445 0.2764 (multiplicity 2)
14 S 0.4146 0.3475 0.3133 (multiplicity 2)

Peak list (12 most intense, 15 to 90 degrees two-theta, in order of falling intensity)
(hkl)  2theta  Rel. int.
2 0 0  28.2  100
0 3 1  29.6  57
1 -2 1  22.3  51
1 1 -3  24.9  43
0 2 -4  29.2  38
1 1 2  23.3  36
1 0 3  25.3  32
1 2 -1  22.7  29
2 3 1  41.8  26
0 0 4  27.8  23
0 0 5  35.0  20
2 -2 4  41.0  19



(6)
Theoretical powder diffraction line list
Compound: Ba5In4Sb6
Radiation: Cu Ka
Structure: DFT lattice parameters and positions (PBE)

Cell lengths 14.6995, 18.6066, 8.4325 Å; angles 90.00, 90.00, 90.00 degrees
Space group Pmmn (No. 59, origin choice 2)
Inequivalent atoms, fractional coordinates:
1 Ba 0.0864 0.0008 0.2398 (multiplicity 8)
2 Ba 0.0998 0.2500 0.2627 (multiplicity 4)
3 Ba 0.2500 0.2500 0.7088 (multiplicity 2)
4 Ba 0.2500 0.5017 0.7391 (multiplicity 4)
5 Ba 0.2500 0.7500 0.0713 (multiplicity 2)
6 In 0.0651 0.1687 0.8978 (multiplicity 8)
7 In 0.0952 0.6719 0.5672 (multiplicity 8)
8 Sb 0.0778 0.1176 0.5769 (multiplicity 8)
9 Sb 0.0853 0.6207 0.9054 (multiplicity 8)
10 Sb 0.2500 0.1261 0.0556 (multiplicity 4)
11 Sb 0.2500 0.6167 0.3979 (multiplicity 4)

Peak list (12 most intense, 15 to 90 degrees two-theta, in order of falling intensity)
(hkl)  2theta  Rel. int.
3 4 1  28.5  100
3 0 3  36.9  51
3 3 1  25.5  43
0 7 2  40.1  28
6 0 0  36.7  26
0 2 2  23.1  20
6 4 2  47.1  15
0 4 4  47.4  12
4 1 1  26.9  12
3 11 1  58.8  11
3 8 3  54.5  11
0 8 0  38.7  8



(7)
Theoretical powder diffraction line list
Compound: BaIn2Sb4
Radiation: Cu Ka
Structure: DFT lattice parameters and positions (PBE)

Cell lengths 10.4408, 4.5872, 19.8718 Å; angles 90.00, 90.00, 90.00 degrees
Space group Pnma (No. 62)
Inequivalent atoms, fractional coordinates:
1 Ba 0.2475 0.2500 0.0449 (multiplicity 4)
2 In 0.1228 0.7500 0.2298 (multiplicity 4)
3 In 0.1495 0.7500 0.8642 (multiplicity 4)
4 Sb 0.0007 0.7500 0.0981 (multiplicity 4)
5 Sb 0.0221 0.2500 0.6423 (multiplicity 4)
6 Sb 0.1020 0.2500 0.4293 (multiplicity 4)
7 Sb 0.2057 0.7500 0.7250 (multiplicity 4)

Peak list (12 most intense, 15 to 90 degrees two-theta, in order of falling intensity)
(hkl)  2theta  Rel. int.
2 1 1  26.2  100
1 0 6  28.2  76
0 2 0  39.3  62
2 1 2  27.4  61
2 0 4  24.7  56
3 1 1  32.6  56
1 1 8  42.3  42
1 2 6  49.1  41
4 1 3  42.1  39
4 1 5  46.1  28
1 1 4  27.8  28
1 1 6  34.5  25



(8)
Theoretical powder diffraction line list
Compound: Ba2InSbSe5
Radiation: Cu Ka
Structure: DFT lattice parameters and positions (PBE)

Cell lengths 4.3490, 19.3816, 13.3821 Å; angles 90.00, 90.00, 90.00 degrees
Space group Cmc2_1 (No. 36)
Inequivalent atoms, fractional coordinates:
1 Ba 0.0000 0.1140 0.0000 (multiplicity 4)
2 Ba 0.0000 0.1281 0.6213 (multiplicity 4)
3 In 0.0000 0.4384 0.7607 (multiplicity 4)
4 Sb 0.0000 0.2187 0.3356 (multiplicity 4)
5 Se 0.0000 0.0457 0.3721 (multiplicity 4)
6 Se 0.0000 0.2825 0.9764 (multiplicity 4)
7 Se 0.0000 0.3100 0.6830 (multiplicity 4)
8 Se 0.0000 0.3550 0.3134 (multiplicity 4)
9 Se 0.0000 0.4980 0.0900 (multiplicity 4)

Peak list (12 most intense, 15 to 90 degrees two-theta, in order of falling intensity)
(hkl)  2theta  Rel. int.
1 1 3  29.0  100
0 6 1  28.4  58
1 5 2  33.7  49
2 0 0  41.5  43
1 1 2  24.8  28
1 7 4  47.5  23
2 6 1  51.1  22
0 2 3  21.9  19
1 3 2  28.1  18
1 5 3  37.0  16
0 2 5  34.8  15
1 5 5  46.2  14